Y2Al4ZnPt3: calculated X-ray diffraction stick pattern (Cu Kα), based on the PBE geometry in Alexandria.

Peak list (10 most intense, 2θ = 10–80°, sorted by position)
- 2θ = 25.05°, I = 44.3, (0 0 3)
- 2θ = 27.10°, I = 71.8, (1 0 2)
- 2θ = 31.40°, I = 77.4, (1 1 1)
- 2θ = 33.07°, I = 73.1, (1 0 3)
- 2θ = 34.69°, I = 100.0, (1 1 2)
- 2θ = 43.27°, I = 77.2, (2 0 0)
- 2θ = 45.83°, I = 47.4, (1 1 4)
- 2θ = 47.87°, I = 44.7, (1 0 5)
- 2θ = 55.52°, I = 33.3, (2 1 3)
- 2θ = 66.49°, I = 33.4, (2 1 5)

Structure:
```
data_Y2Al4ZnPt3
_cell_length_a 4.181
_cell_length_b 4.181
_cell_length_c 10.666
_cell_angle_alpha 90.00
_cell_angle_beta 90.00
_cell_angle_gamma 90.00
_symmetry_space_group_name_H-M 'P -4 m 2'
_symmetry_Int_Tables_number 115
loop_
_symmetry_equiv_pos_as_xyz
'x,y,z'
'y,-x,-z'
'-x,-y,z'
'-y,x,-z'
'-x,y,z'
'-y,-x,-z'
'x,-y,z'
'y,x,-z'
loop_
_atom_site_label
_atom_site_type_symbol
_atom_site_fract_x
_atom_site_fract_y
_atom_site_fract_z
Y1 Y 0.000 0.500 0.248
Al1 Al 0.000 0.000 0.000
Al2 Al 0.000 0.500 0.634
Al3 Al 0.500 0.500 0.000
Zn1 Zn 0.000 0.000 0.500
Pt1 Pt 0.000 0.500 0.865
Pt2 Pt 0.500 0.500 0.500
```

---

Yb4Al24Pt9: calculated X-ray diffraction stick pattern (Cu Kα), based on the PBE geometry in Alexandria.

Peak list (10 most intense, 2θ = 10–80°, sorted by position)
- 2θ = 20.41°, I = 26.5, (0 0 3)
- 2θ = 23.77°, I = 85.7, (2 1 1)
- 2θ = 28.60°, I = 95.3, (1 2 -2)
- 2θ = 29.96°, I = 100.0, (1 2 3)
- 2θ = 38.28°, I = 36.6, (2 1 5)
- 2θ = 41.56°, I = 86.2, (3 0 1)
- 2θ = 41.65°, I = 36.9, (3 3 1)
- 2θ = 44.14°, I = 30.8, (2 1 6)
- 2θ = 46.76°, I = 25.6, (3 0 4)
- 2θ = 55.00°, I = 32.1, (0 3 -5)

Structure:
```
data_Yb4Al24Pt9
_cell_length_a 7.515
_cell_length_b 7.517
_cell_length_c 13.294
_cell_angle_alpha 84.60
_cell_angle_beta 79.15
_cell_angle_gamma 60.13
_symmetry_space_group_name_H-M 'P -1'
_symmetry_Int_Tables_number 2
loop_
_symmetry_equiv_pos_as_xyz
'x,y,z'
'-x,-y,-z'
loop_
_atom_site_label
_atom_site_type_symbol
_atom_site_fract_x
_atom_site_fract_y
_atom_site_fract_z
Yb1 Yb 0.063 0.332 0.307
Yb2 Yb 0.267 0.999 0.693
Al1 Al 0.018 0.666 0.446
Al2 Al 0.117 0.665 0.170
Al3 Al 0.147 0.333 0.059
Al4 Al 0.185 0.001 0.941
Al5 Al 0.191 0.870 0.316
Al6 Al 0.230 0.660 0.831
Al7 Al 0.317 0.668 0.546
Al8 Al 0.352 0.001 0.446
Al9 Al 0.397 0.458 0.316
Al10 Al 0.398 0.335 0.683
Al11 Al 0.444 0.994 0.170
Al12 Al 0.479 0.668 0.060
Pt1 Pt 0.000 0.000 0.500
Pt2 Pt 0.114 0.007 0.137
Pt3 Pt 0.205 0.333 0.863
Pt4 Pt 0.329 0.329 0.500
Pt5 Pt 0.455 0.326 0.136
```

---

AlZn2Pt: calculated X-ray diffraction stick pattern (Cu Kα), based on the PBE geometry in Alexandria.

Peak list (10 most intense, 2θ = 10–80°, sorted by position)
- 2θ = 25.85°, I = 65.6, (1 0 1)
- 2θ = 40.33°, I = 100.0, (1 1 2)
- 2θ = 41.45°, I = 19.4, (1 0 3)
- 2θ = 45.63°, I = 17.5, (0 0 4)
- 2θ = 47.55°, I = 31.0, (2 0 0)
- 2θ = 54.91°, I = 17.3, (2 1 1)
- 2θ = 63.33°, I = 5.7, (1 0 5)
- 2θ = 64.88°, I = 10.5, (2 1 3)
- 2θ = 68.02°, I = 20.8, (2 0 4)
- 2θ = 69.52°, I = 9.8, (2 2 0)

Structure:
```
data_AlZn2Pt
_cell_length_a 3.824
_cell_length_b 3.824
_cell_length_c 7.953
_cell_angle_alpha 90.00
_cell_angle_beta 90.00
_cell_angle_gamma 90.00
_symmetry_space_group_name_H-M 'I 4/m m m'
_symmetry_Int_Tables_number 139
_symmetry_space_group_name_Hall '-I 4 2'
loop_
_atom_site_label
_atom_site_type_symbol
_atom_site_fract_x
_atom_site_fract_y
_atom_site_fract_z
Al1 Al 0.000 0.000 0.000
Zn1 Zn 0.000 0.500 0.250
Pt1 Pt 0.000 0.000 0.500
```

---

Pu6Al23: calculated X-ray diffraction stick pattern (Cu Kα), based on the PBE geometry in Alexandria.

Peak list (10 most intense, 2θ = 10–80°, sorted by position)
- 2θ = 11.81°, I = 36.4, (1 1 1)
- 2θ = 13.64°, I = 32.7, (2 0 0)
- 2θ = 23.74°, I = 72.5, (2 2 2)
- 2θ = 27.48°, I = 37.2, (4 0 0)
- 2θ = 30.00°, I = 42.7, (3 3 1)
- 2θ = 33.82°, I = 40.1, (4 2 2)
- 2θ = 35.94°, I = 100.0, (3 3 3)
- 2θ = 39.25°, I = 47.1, (4 4 0)
- 2θ = 50.18°, I = 30.9, (5 5 1)
- 2θ = 60.50°, I = 32.4, (8 2 2)

Structure:
```
data_Pu6Al23
_cell_length_a 12.984
_cell_length_b 12.984
_cell_length_c 12.984
_cell_angle_alpha 90.00
_cell_angle_beta 90.00
_cell_angle_gamma 90.00
_symmetry_space_group_name_H-M 'F m -3 m'
_symmetry_Int_Tables_number 225
_symmetry_space_group_name_Hall '-F 4 2 3'
loop_
_atom_site_label
_atom_site_type_symbol
_atom_site_fract_x
_atom_site_fract_y
_atom_site_fract_z
Pu1 Pu 0.000 0.000 0.202
Al1 Al 0.000 0.000 0.500
Al2 Al 0.000 0.250 0.250
Al3 Al 0.119 0.119 0.381
Al4 Al 0.170 0.170 0.170
```